Record 1
Theoretical X-ray powder pattern of Re3Pt4 for Cu Kα (weighted mean of Kα1 and Kα2), from a cell relaxed with GGA-PBE.
Kinematic intensities with the Lorentz-polarization factor, no thermal factor.

Crystal structure
Lattice parameters (Å, degrees): 10.059 10.059 10.059 160.96 160.96 27.06
Fractional coordinates of all 7 atoms:
Re 0.000 0.000 0.000
Re 0.284 0.284 0.000
Re 0.716 0.716 0.000
Pt 0.142 0.142 0.000
Pt 0.429 0.429 0.000
Pt 0.571 0.571 0.000
Pt 0.858 0.858 0.000

Peak list (6 most intense, 2θ from 10° to 90°, sorted by position)
| 2θ (°) | Rel. int. |
| --- | --- |
| 38.2 | 65.9 |
| 42.2 | 100.0 |
| 55.2 | 23.1 |
| 71.9 | 42.3 |
| 79.8 | 15.9 |
| 81.9 | 7.6 |



Record 2
Theoretical X-ray powder pattern of ThSbH6Ru3 for Cu Kα (weighted mean of Kα1 and Kα2), from a cell relaxed with GGA-PBE.
Kinematic intensities with the Lorentz-polarization factor, no thermal factor.

Crystal structure
Lattice parameters (Å, degrees): 4.936 4.936 4.936 96.53 96.53 96.53
Fractional coordinates of all 11 atoms:
Th 0.000 0.000 0.000
Sb 0.410 0.410 0.410
H 0.148 0.528 0.862
H 0.148 0.862 0.528
H 0.528 0.148 0.862
H 0.528 0.862 0.148
H 0.862 0.148 0.528
H 0.862 0.528 0.148
Ru 0.547 0.547 0.949
Ru 0.547 0.949 0.547
Ru 0.949 0.547 0.547

Peak list (6 most intense, 2θ from 10° to 90°, sorted by position)
| 2θ (°) | Rel. int. |
| --- | --- |
| 24.2 | 78.1 |
| 30.4 | 88.8 |
| 35.8 | 40.9 |
| 37.0 | 100.0 |
| 44.7 | 48.9 |
| 49.5 | 40.3 |



Record 3
Theoretical X-ray powder pattern of PmPr4Nd4 for Cu Kα (weighted mean of Kα1 and Kα2), from a cell relaxed with GGA-PBE.
Kinematic intensities with the Lorentz-polarization factor, no thermal factor.

Crystal structure
Lattice parameters (Å, degrees): 8.260 8.260 8.249 107.62 107.62 36.95
Fractional coordinates of all 9 atoms:
Pm 0.000 0.000 0.000
Pr 0.222 0.222 0.334
Pr 0.334 0.334 0.000
Pr 0.666 0.666 0.000
Pr 0.778 0.778 0.666
Nd 0.111 0.111 0.667
Nd 0.445 0.445 0.667
Nd 0.555 0.555 0.333
Nd 0.889 0.889 0.333

Peak list (6 most intense, 2θ from 10° to 90°, sorted by position)
| 2θ (°) | Rel. int. |
| --- | --- |
| 29.6 | 100.0 |
| 34.3 | 33.9 |
| 34.4 | 16.8 |
| 49.3 | 30.4 |
| 58.5 | 21.8 |
| 58.7 | 21.6 |



Record 4
Theoretical X-ray powder pattern of La4YEr3Se8 for Cu Kα (weighted mean of Kα1 and Kα2), from a cell relaxed with GGA-PBE.
Kinematic intensities with the Lorentz-polarization factor, no thermal factor.

Crystal structure
Lattice parameters (Å, degrees): 8.457 8.457 8.457 58.53 58.53 58.53
Fractional coordinates of all 16 atoms:
La 0.000 0.000 0.000
La 0.000 0.500 0.500
La 0.500 0.000 0.500
La 0.500 0.500 0.000
Y 0.500 0.500 0.500
Er 0.000 0.000 0.500
Er 0.000 0.500 0.000
Er 0.500 0.000 0.000
Se 0.240 0.744 0.744
Se 0.242 0.242 0.242
Se 0.256 0.256 0.760
Se 0.256 0.760 0.256
Se 0.744 0.240 0.744
Se 0.744 0.744 0.240
Se 0.758 0.758 0.758
Se 0.760 0.256 0.256

Peak list (6 most intense, 2θ from 10° to 90°, sorted by position)
| 2θ (°) | Rel. int. |
| --- | --- |
| 30.2 | 100.0 |
| 42.8 | 37.1 |
| 43.8 | 36.4 |
| 54.1 | 19.2 |
| 70.6 | 15.6 |
| 72.1 | 16.3 |



Record 5
Theoretical X-ray powder pattern of Ba8Eu7Cl34 for Cu Kα (weighted mean of Kα1 and Kα2), from a cell relaxed with GGA-PBE.
Kinematic intensities with the Lorentz-polarization factor, no thermal factor.

Crystal structure
Lattice parameters (Å, degrees): 13.520 13.520 13.520 130.49 130.49 72.63
Fractional coordinates of all 49 atoms:
Ba 0.021 0.475 0.179
Ba 0.158 0.979 0.454
Ba 0.296 0.842 0.821
Ba 0.475 0.296 0.454
Ba 0.525 0.704 0.546
Ba 0.704 0.158 0.179
Ba 0.842 0.021 0.546
Ba 0.979 0.525 0.821
Eu 0.000 0.000 0.000
Eu 0.178 0.389 0.567
Eu 0.311 0.311 0.000
Eu 0.389 0.822 0.211
Eu 0.611 0.178 0.789
Eu 0.689 0.689 0.000
Eu 0.822 0.611 0.433
Cl 0.003 0.124 0.279
Cl 0.042 0.327 0.893
Cl 0.077 0.577 0.500
Cl 0.124 0.845 0.122
Cl 0.149 0.042 0.715
Cl 0.155 0.277 0.279
Cl 0.167 0.303 0.713
Cl 0.228 0.636 0.864
Cl 0.250 0.750 0.500
Cl 0.277 0.997 0.122
Cl 0.303 0.590 0.136
Cl 0.327 0.434 0.285
Cl 0.364 0.228 0.592
Cl 0.410 0.546 0.713
Cl 0.423 0.923 0.500
Cl 0.434 0.149 0.107
Cl 0.454 0.167 0.864
Cl 0.546 0.833 0.136
Cl 0.566 0.851 0.893
Cl 0.577 0.077 0.500
Cl 0.590 0.454 0.287
Cl 0.636 0.772 0.408
Cl 0.673 0.566 0.715
Cl 0.697 0.410 0.864
Cl 0.723 0.003 0.878
Cl 0.750 0.250 0.500
Cl 0.772 0.364 0.136
Cl 0.833 0.697 0.287
Cl 0.845 0.723 0.721
Cl 0.851 0.958 0.285
Cl 0.876 0.155 0.878
Cl 0.923 0.423 0.500
Cl 0.958 0.673 0.107
Cl 0.997 0.876 0.721

Peak list (6 most intense, 2θ from 10° to 90°, sorted by position)
| 2θ (°) | Rel. int. |
| --- | --- |
| 21.4 | 100.0 |
| 24.9 | 15.2 |
| 35.2 | 58.0 |
| 35.5 | 25.9 |
| 41.3 | 18.6 |
| 41.8 | 32.9 |



Please write out number 1 again, unchanged.
Theoretical X-ray powder pattern of Re3Pt4 for Cu Kα (weighted mean of Kα1 and Kα2), from a cell relaxed with GGA-PBE.
Kinematic intensities with the Lorentz-polarization factor, no thermal factor.

Crystal structure
Lattice parameters (Å, degrees): 10.059 10.059 10.059 160.96 160.96 27.06
Fractional coordinates of all 7 atoms:
Re 0.000 0.000 0.000
Re 0.284 0.284 0.000
Re 0.716 0.716 0.000
Pt 0.142 0.142 0.000
Pt 0.429 0.429 0.000
Pt 0.571 0.571 0.000
Pt 0.858 0.858 0.000

Peak list (6 most intense, 2θ from 10° to 90°, sorted by position)
| 2θ (°) | Rel. int. |
| --- | --- |
| 38.2 | 65.9 |
| 42.2 | 100.0 |
| 55.2 | 23.1 |
| 71.9 | 42.3 |
| 79.8 | 15.9 |
| 81.9 | 7.6 |